Starting from a crystal structure in Alexandria, relaxed with PBE+U, the powder XRD pattern of SmNi2B2O6 was computed for Cu Kα (weighted mean of Kα1 and Kα2).
Kinematic intensities with the Lorentz-polarization factor, no thermal factor.

Crystal structure
abc: 5.1177 5.1177 6.0419
angles: 90.00 90.00 120.00
Fractional positions:
Sm  0.0000  0.0000  0.0000
Ni  0.3333  0.6667  0.3272
Ni  0.6667  0.3333  0.6728
B  0.3333  0.6667  0.7620
B  0.6667  0.3333  0.2380
O  0.0631  0.6682  0.7649
O  0.3318  0.3949  0.7649
O  0.3949  0.0631  0.2351
O  0.6051  0.9369  0.7649
O  0.6682  0.6051  0.2351
O  0.9369  0.3318  0.2351

Most intense lines, 2θ from 5° to 70°, low angle first:
- 14.7°, I = 16, hkl 0 0 1
- 24.9°, I = 100, hkl 0 1 1
- 35.1°, I = 38, hkl 1 1 0
- 36.0°, I = 56, hkl 1 0 2
- 43.5°, I = 29, hkl 2 0 1
- 51.1°, I = 16, hkl 0 2 2
- 57.1°, I = 24, hkl 1 2 1
- 58.3°, I = 22, hkl 1 1 3
- 62.9°, I = 12, hkl 3 0 0
- 63.5°, I = 17, hkl 3 -1 2